# 1
For Hf2Si3W4C3, DFT lattice parameters and positions (GGA-PBE) gives the computed XRD peak list in this record (copper Kα).
Peak positions follow from Bragg's law for the DFT cell and can differ from measured ones.

Structure:
Cell: 9.3633 5.4227 13.2277 Å, 90.00 103.58 90.00°
Space group C2/c (No. 15)
Unique sites:
Hf 0.0462 0.0837 0.3875 [8 per cell]
Si 0.0000 0.4923 0.2500 [4 per cell]
Si 0.2050 0.1199 0.7490 [8 per cell]
W 0.1109 0.4127 0.5854 [8 per cell]
W 0.2241 0.4171 0.9144 [8 per cell]
C 0.0809 0.2428 0.9998 [8 per cell]
C 0.2500 0.2500 0.5000 [4 per cell]

Largest 10 diffraction maxima, in order of falling intensity, 10 to 90 degrees two-theta:
2θ/deg	d_spacing	I/Imax	(hkl)
39.37	2.289	100	0 2 3
33.84	2.649	35	3 1 -2
13.77	6.429	28	0 0 2
33.09	2.707	26	3 1 -1
27.75	3.214	17	0 0 4
75.20	1.263	17	3 3 5
42.17	2.143	16	0 0 6
60.96	1.520	15	3 1 -8
59.06	1.564	15	3 3 -1
54.62	1.680	11	3 1 5

***

# 2
For Hf2SnC, DFT lattice parameters and positions (GGA-PBE) gives the computed XRD peak list in this record (copper Kα).
Peak positions follow from Bragg's law for the DFT cell and can differ from measured ones.

Structure:
Cell: 3.3363 3.3363 14.5298 Å, 90.00 90.00 120.00°
Space group P-6m2 (No. 187)
Unique sites:
Hf 0.0000 0.0000 0.1653 [2 per cell]
Hf 0.6667 0.3333 0.3340 [2 per cell]
Sn 0.0000 0.0000 0.5000 [1 per cell]
Sn 0.6667 0.3333 0.0000 [1 per cell]
C 0.3333 0.6667 0.2495 [2 per cell]

Largest 10 diffraction maxima, in order of falling intensity, 10 to 90 degrees two-theta:
2θ/deg	d_spacing	I/Imax	(hkl)
36.20	2.481	100	1 0 3
30.95	2.889	23	1 0 0
55.05	1.668	21	1 1 0
68.28	1.374	21	1 1 6
37.13	2.422	20	0 0 6
66.32	1.409	17	1 0 9
67.68	1.384	17	2 0 3
49.09	1.856	15	1 0 6
12.18	7.265	5	0 0 2
76.83	1.241	4	2 0 6

***

# 3
For Hf4Ta2Zn3C3, DFT lattice parameters and positions (GGA-PBE) gives the computed XRD peak list in this record (copper Kα).
Peak positions follow from Bragg's law for the DFT cell and can differ from measured ones.

Structure:
Cell: 9.6980 5.6000 14.2703 Å, 90.00 103.30 90.00°
Space group C2/c (No. 15)
Unique sites:
Hf 0.1151 0.0790 0.0937 [8 per cell]
Hf 0.2161 0.0857 0.4063 [8 per cell]
Ta 0.0584 0.4149 0.9204 [8 per cell]
Zn 0.0000 0.1377 0.7500 [4 per cell]
Zn 0.1396 0.4421 0.2492 [8 per cell]
C 0.0831 0.2505 0.5000 [8 per cell]
C 0.2500 0.2500 0.0000 [4 per cell]

Largest 10 diffraction maxima, in order of falling intensity, 10 to 90 degrees two-theta:
2θ/deg	d_spacing	I/Imax	(hkl)
37.52	2.397	100	3 1 -4
37.60	2.392	49	3 1 2
31.97	2.800	35	3 1 -1
56.97	1.616	32	6 0 -2
38.91	2.315	28	0 0 6
12.75	6.944	24	0 0 2
32.63	2.744	19	3 1 0
70.28	1.339	14	0 4 3
51.16	1.785	14	3 1 -7
71.24	1.324	12	3 3 5

***

# 4
For Hf2Ta4Zn3C3, DFT lattice parameters and positions (GGA-PBE) gives the computed XRD peak list in this record (copper Kα).
Peak positions follow from Bragg's law for the DFT cell and can differ from measured ones.

Structure:
Cell: 9.4779 5.4649 14.2319 Å, 90.00 103.03 90.00°
Space group C2/c (No. 15)
Unique sites:
Hf 0.0462 0.0811 0.3983 [8 per cell]
Ta 0.1117 0.4111 0.5839 [8 per cell]
Ta 0.2242 0.4193 0.9161 [8 per cell]
Zn 0.0000 0.4673 0.7500 [4 per cell]
Zn 0.2250 0.1402 0.7514 [8 per cell]
C 0.0829 0.2485 0.0000 [8 per cell]
C 0.2500 0.2500 0.5000 [4 per cell]

Largest 10 diffraction maxima, in order of falling intensity, 10 to 90 degrees two-theta:
2θ/deg	d_spacing	I/Imax	(hkl)
38.22	2.355	100	3 1 -4
38.29	2.351	48	3 1 2
38.98	2.311	33	0 0 6
32.75	2.734	31	3 1 -1
33.40	2.683	29	3 1 0
12.77	6.933	25	0 0 2
58.46	1.579	24	6 0 -2
70.17	1.341	12	0 2 9
64.94	1.436	12	6 0 2
51.84	1.764	12	0 2 6

***

What is the formula in the second record?
Hf2SnC